[1]
For Hf2Ti3Pb2, the GGA-PBE geometry in Alexandria gives the computed powder diffraction line list in this record (Cu Kα X-rays).
Peak positions follow from Bragg's law for the DFT cell and can differ from measured ones.

```
data_Hf2Ti3Pb2
_cell_length_a 11.1688
_cell_length_b 3.6342
_cell_length_c 7.3321
_cell_angle_alpha 90.00
_cell_angle_beta 99.06
_cell_angle_gamma 90.00
_space_group_name_H-M_alt 'C 1 2/m 1'
_space_group_IT_number 12
loop_
_space_group_symop_operation_xyz
'x,y,z'
'-x,-y,-z'
'-x,y,-z'
'x,-y,z'
'x+1/2,y+1/2,z'
'-x+1/2,-y+1/2,-z'
'-x+1/2,y+1/2,-z'
'x+1/2,-y+1/2,z'
loop_
_atom_site_label
_atom_site_type_symbol
_atom_site_fract_x
_atom_site_fract_y
_atom_site_fract_z
Hf1 Hf 0.0917 0.0000 0.2335
Ti1 Ti 0.0000 0.5000 0.5000
Ti2 Ti 0.2075 0.0000 0.6157
Pb1 Pb 0.1309 0.5000 0.8993
```

Top 12 peaks for 15° ≤ 2θ ≤ 90°, in order of rising 2θ:
hkl 2 0 -2, d 3.272, 27.26 deg, intensity 18.3; hkl 1 1 1, d 3.058, 29.21 deg, intensity 46.4; hkl 4 0 0, d 2.757, 32.47 deg, intensity 23.9; hkl 3 1 -1, d 2.524, 35.57 deg, intensity 100.0; hkl 4 0 1, d 2.452, 36.65 deg, intensity 35.6; hkl 1 1 2, d 2.439, 36.85 deg, intensity 79.4; hkl 2 0 -3, d 2.351, 38.28 deg, intensity 41.9; hkl 0 2 0, d 1.817, 50.21 deg, intensity 19.3; hkl 6 0 -2, d 1.754, 52.14 deg, intensity 15.4; hkl 5 1 2, d 1.588, 58.10 deg, intensity 21.2; hkl 4 2 1, d 1.459, 63.78 deg, intensity 24.1; hkl 2 2 -3, d 1.438, 64.85 deg, intensity 16.2

[2]
For Hf8Ti2Pb3, the GGA-PBE geometry in Alexandria gives the computed powder diffraction line list in this record (Cu Kα X-rays).
Peak positions follow from Bragg's law for the DFT cell and can differ from measured ones.

```
data_Hf8Ti2Pb3
_cell_length_a 5.8188
_cell_length_b 5.8188
_cell_length_c 31.4393
_cell_angle_alpha 90.00
_cell_angle_beta 90.00
_cell_angle_gamma 120.00
_space_group_name_H-M_alt 'R -3 m'
_space_group_IT_number 166
_space_group_name_Hall '-R 3 2"'
loop_
_atom_site_label
_atom_site_type_symbol
_atom_site_fract_x
_atom_site_fract_y
_atom_site_fract_z
Hf1 Hf 0.0000 0.0000 0.2203
Hf2 Hf 0.0060 0.5030 0.7275
Ti1 Ti 0.0000 0.0000 0.1341
Pb1 Pb 0.0000 0.0000 0.3126
Pb2 Pb 0.0000 0.0000 0.5000
```

Top 12 peaks for 15° ≤ 2θ ≤ 90°, in order of rising 2θ:
hkl 1 0 7, d 3.353, 26.59 deg, intensity 21.1; hkl 1 1 0, d 2.909, 30.73 deg, intensity 20.1; hkl 1 0 10, d 2.667, 33.60 deg, intensity 10.3; hkl 1 1 6, d 2.544, 35.29 deg, intensity 20.3; hkl 2 0 2, d 2.487, 36.12 deg, intensity 100.0; hkl 0 2 4, d 2.399, 37.48 deg, intensity 37.2; hkl 2 0 5, d 2.339, 38.49 deg, intensity 23.2; hkl 1 1 9, d 2.236, 40.34 deg, intensity 16.9; hkl 1 2 11, d 1.585, 58.21 deg, intensity 23.8; hkl 2 2 0, d 1.455, 64.00 deg, intensity 22.2; hkl 0 4 2, d 1.256, 75.75 deg, intensity 17.3; hkl 0 2 22, d 1.243, 76.64 deg, intensity 14.9

[3]
For Hf15TlPb4, the GGA-PBE geometry in Alexandria gives the computed powder diffraction line list in this record (Cu Kα X-rays).
Peak positions follow from Bragg's law for the DFT cell and can differ from measured ones.

```
data_Hf15TlPb4
_cell_length_a 4.4641
_cell_length_b 4.4641
_cell_length_c 22.3465
_cell_angle_alpha 90.00
_cell_angle_beta 90.00
_cell_angle_gamma 90.00
_space_group_name_H-M_alt 'P 4/m m m'
_space_group_IT_number 123
_space_group_name_Hall '-P 4 2'
loop_
_atom_site_label
_atom_site_type_symbol
_atom_site_fract_x
_atom_site_fract_y
_atom_site_fract_z
Hf1 Hf 0.0000 0.0000 0.0000
Hf2 Hf 0.0000 0.0000 0.1983
Hf3 Hf 0.0000 0.0000 0.3997
Hf4 Hf 0.0000 0.5000 0.0988
Hf5 Hf 0.0000 0.5000 0.2992
Hf6 Hf 0.0000 0.5000 0.5000
Tl1 Tl 0.5000 0.5000 0.0000
Pb1 Pb 0.5000 0.5000 0.1997
Pb2 Pb 0.5000 0.5000 0.3995
```

Top 7 peaks for 15° ≤ 2θ ≤ 90°, in order of rising 2θ:
hkl 1 1 5, d 2.578, 34.79 deg, intensity 100.0; hkl 2 0 0, d 2.233, 40.39 deg, intensity 50.0; hkl 2 2 0, d 1.579, 58.45 deg, intensity 34.3; hkl 3 1 5, d 1.347, 69.85 deg, intensity 40.5; hkl 2 2 10, d 1.289, 73.45 deg, intensity 11.7; hkl 0 0 20, d 1.117, 87.26 deg, intensity 1.9; hkl 4 0 0, d 1.116, 87.38 deg, intensity 3.9

[4]
For Hf2Zr4Pb, the GGA-PBE geometry in Alexandria gives the computed powder diffraction line list in this record (Cu Kα X-rays).
Peak positions follow from Bragg's law for the DFT cell and can differ from measured ones.

```
data_Hf2Zr4Pb
_cell_length_a 6.4085
_cell_length_b 6.4085
_cell_length_c 16.9799
_cell_angle_alpha 90.00
_cell_angle_beta 90.00
_cell_angle_gamma 90.00
_space_group_name_H-M_alt 'I 4/m c m'
_space_group_IT_number 140
_space_group_name_Hall '-I 4 2c'
loop_
_atom_site_label
_atom_site_type_symbol
_atom_site_fract_x
_atom_site_fract_y
_atom_site_fract_z
Hf1 Hf 0.1572 0.3428 0.0000
Zr1 Zr 0.1527 0.3473 0.3496
Pb1 Pb 0.0000 0.0000 0.2500
```

Top 12 peaks for 15° ≤ 2θ ≤ 90°, in order of rising 2θ:
hkl 1 1 2, d 3.998, 22.24 deg, intensity 37.3; hkl 2 0 2, d 2.998, 29.80 deg, intensity 22.7; hkl 0 0 6, d 2.829, 31.63 deg, intensity 15.2; hkl 2 1 3, d 2.557, 35.10 deg, intensity 100.0; hkl 1 1 6, d 2.400, 37.47 deg, intensity 23.0; hkl 2 1 5, d 2.190, 41.22 deg, intensity 17.6; hkl 0 0 8, d 2.122, 42.61 deg, intensity 29.4; hkl 3 1 0, d 2.027, 44.72 deg, intensity 29.8; hkl 2 1 9, d 1.575, 58.59 deg, intensity 19.5; hkl 4 1 3, d 1.499, 61.90 deg, intensity 12.5; hkl 3 1 8, d 1.466, 63.47 deg, intensity 12.2; hkl 3 3 6, d 1.333, 70.69 deg, intensity 14.5

[5]
For HfZr4Pb2, the GGA-PBE geometry in Alexandria gives the computed powder diffraction line list in this record (Cu Kα X-rays).
Peak positions follow from Bragg's law for the DFT cell and can differ from measured ones.

```
data_HfZr4Pb2
_cell_length_a 7.6913
_cell_length_b 6.0124
_cell_length_c 8.0544
_cell_angle_alpha 90.00
_cell_angle_beta 115.81
_cell_angle_gamma 90.00
_space_group_name_H-M_alt 'P 1 21/m 1'
_space_group_IT_number 11
loop_
_space_group_symop_operation_xyz
'x,y,z'
'-x,-y,-z'
'-x,y+1/2,-z'
'x,-y+1/2,z'
loop_
_atom_site_label
_atom_site_type_symbol
_atom_site_fract_x
_atom_site_fract_y
_atom_site_fract_z
Hf1 Hf 0.0884 0.2500 0.3487
Zr1 Zr 0.2110 0.7500 0.0743
Zr2 Zr 0.3444 0.0010 0.7757
Zr3 Zr 0.4797 0.7500 0.4989
Pb1 Pb 0.0619 0.7500 0.3736
Pb2 Pb 0.2597 0.2500 0.0793
```

Top 12 peaks for 15° ≤ 2θ ≤ 90°, in order of rising 2θ:
hkl 0 2 0, d 3.006, 29.72 deg, intensity 53.7; hkl 1 2 0, d 2.757, 32.47 deg, intensity 33.0; hkl 2 0 1, d 2.700, 33.18 deg, intensity 97.6; hkl 1 0 -3, d 2.673, 33.53 deg, intensity 100.0; hkl 3 0 -2, d 2.502, 35.89 deg, intensity 71.3; hkl 1 2 1, d 2.441, 36.82 deg, intensity 53.6; hkl 2 2 -1, d 2.368, 38.00 deg, intensity 35.2; hkl 0 2 2, d 2.312, 38.95 deg, intensity 38.4; hkl 2 2 -2, d 2.232, 40.42 deg, intensity 34.0; hkl 2 2 1, d 2.009, 45.13 deg, intensity 30.4; hkl 1 2 -3, d 1.997, 45.41 deg, intensity 31.8; hkl 1 0 4, d 1.592, 57.91 deg, intensity 47.0

[6]
For Hf3Zr8Pb, the GGA-PBE geometry in Alexandria gives the computed powder diffraction line list in this record (Cu Kα X-rays).
Peak positions follow from Bragg's law for the DFT cell and can differ from measured ones.

```
data_Hf3Zr8Pb
_cell_length_a 7.8662
_cell_length_b 7.8662
_cell_length_c 10.1909
_cell_angle_alpha 90.00
_cell_angle_beta 90.00
_cell_angle_gamma 90.00
_space_group_name_H-M_alt 'I -4 2 m'
_space_group_IT_number 121
_space_group_name_Hall 'I -4 2'
loop_
_atom_site_label
_atom_site_type_symbol
_atom_site_fract_x
_atom_site_fract_y
_atom_site_fract_z
Hf1 Hf 0.0000 0.0000 0.0000
Hf2 Hf 0.0000 0.5000 0.2500
Zr1 Zr 0.1424 0.1424 0.7669
Zr2 Zr 0.2425 0.2425 0.0299
Pb1 Pb 0.0000 0.0000 0.5000
```

Top 12 peaks for 15° ≤ 2θ ≤ 90°, in order of rising 2θ:
hkl 1 1 2, d 3.757, 23.68 deg, intensity 77.9; hkl 2 1 1, d 3.325, 26.81 deg, intensity 26.4; hkl 2 2 0, d 2.781, 32.19 deg, intensity 64.3; hkl 0 0 4, d 2.548, 35.23 deg, intensity 36.4; hkl 2 2 2, d 2.443, 36.80 deg, intensity 21.4; hkl 3 1 2, d 2.235, 40.35 deg, intensity 100.0; hkl 2 2 4, d 1.879, 48.46 deg, intensity 35.6; hkl 4 0 2, d 1.835, 49.69 deg, intensity 15.6; hkl 5 1 2, d 1.476, 62.95 deg, intensity 20.1; hkl 4 2 4, d 1.447, 64.39 deg, intensity 12.2; hkl 3 1 6, d 1.403, 66.68 deg, intensity 24.6; hkl 4 4 4, d 1.221, 78.33 deg, intensity 13.4

[7]
For Hf2Zr3Pb2, the GGA-PBE geometry in Alexandria gives the computed powder diffraction line list in this record (Cu Kα X-rays).
Peak positions follow from Bragg's law for the DFT cell and can differ from measured ones.

```
data_Hf2Zr3Pb2
_cell_length_a 10.5799
_cell_length_b 3.2050
_cell_length_c 10.6535
_cell_angle_alpha 90.00
_cell_angle_beta 113.04
_cell_angle_gamma 90.00
_space_group_name_H-M_alt 'C 1 2/m 1'
_space_group_IT_number 12
loop_
_space_group_symop_operation_xyz
'x,y,z'
'-x,-y,-z'
'-x,y,-z'
'x,-y,z'
'x+1/2,y+1/2,z'
'-x+1/2,-y+1/2,-z'
'-x+1/2,y+1/2,-z'
'x+1/2,-y+1/2,z'
loop_
_atom_site_label
_atom_site_type_symbol
_atom_site_fract_x
_atom_site_fract_y
_atom_site_fract_z
Hf1 Hf 0.2143 0.0000 0.3644
Zr1 Zr 0.0000 0.0000 0.5000
Zr2 Zr 0.1610 0.5000 0.0959
Pb1 Pb 0.0648 0.5000 0.7832
```

Top 12 peaks for 15° ≤ 2θ ≤ 90°, in order of rising 2θ:
hkl 0 0 2, d 4.902, 18.10 deg, intensity 20.7; hkl 1 1 1, d 2.812, 31.83 deg, intensity 65.9; hkl 2 0 -4, d 2.644, 33.91 deg, intensity 73.2; hkl 4 0 -1, d 2.614, 34.31 deg, intensity 71.8; hkl 1 1 2, d 2.455, 36.60 deg, intensity 76.2; hkl 2 0 3, d 2.326, 38.72 deg, intensity 100.0; hkl 3 1 -3, d 2.171, 41.59 deg, intensity 46.7; hkl 5 1 1, d 1.557, 59.36 deg, intensity 22.3; hkl 1 1 -6, d 1.519, 60.99 deg, intensity 19.7; hkl 2 2 -4, d 1.370, 68.46 deg, intensity 20.1; hkl 4 2 -1, d 1.366, 68.70 deg, intensity 31.3; hkl 2 2 3, d 1.319, 71.54 deg, intensity 30.1

[8]
For Hf12Zr6Pb, the GGA-PBE geometry in Alexandria gives the computed powder diffraction line list in this record (Cu Kα X-rays).
Peak positions follow from Bragg's law for the DFT cell and can differ from measured ones.

```
data_Hf12Zr6Pb
_cell_length_a 7.1484
_cell_length_b 8.3943
_cell_length_c 8.4381
_cell_angle_alpha 93.63
_cell_angle_beta 114.92
_cell_angle_gamma 105.17
_space_group_name_H-M_alt 'P -1'
_space_group_IT_number 2
loop_
_space_group_symop_operation_xyz
'x,y,z'
'-x,-y,-z'
loop_
_atom_site_label
_atom_site_type_symbol
_atom_site_fract_x
_atom_site_fract_y
_atom_site_fract_z
Hf1 Hf 0.0158 0.4463 0.1787
Hf2 Hf 0.0814 0.3446 0.5523
Hf3 Hf 0.1290 0.2339 0.9136
Hf4 Hf 0.2244 0.0160 0.6618
Hf5 Hf 0.2965 0.9232 0.0307
Hf6 Hf 0.3871 0.7135 0.7680
Zr1 Zr 0.1786 0.1325 0.2790
Zr2 Zr 0.3320 0.8170 0.3977
Zr3 Zr 0.4442 0.6031 0.1284
Pb1 Pb 0.5000 0.5000 0.5000
```

Top 12 peaks for 15° ≤ 2θ ≤ 90°, in order of rising 2θ:
hkl 1 -2 2, d 2.601, 34.48 deg, intensity 100.0; hkl 0 1 3, d 2.261, 39.87 deg, intensity 33.5; hkl 1 3 -2, d 2.236, 40.34 deg, intensity 16.2; hkl 3 -1 2, d 1.599, 57.65 deg, intensity 11.3; hkl 2 -5 1, d 1.590, 57.99 deg, intensity 16.6; hkl 1 4 1, d 1.588, 58.09 deg, intensity 5.7; hkl 4 -4 1, d 1.363, 68.89 deg, intensity 9.8; hkl -1 4 4, d 1.362, 68.96 deg, intensity 16.5; hkl 0 5 -4, d 1.351, 69.58 deg, intensity 9.6; hkl 0 6 -1, d 1.350, 69.65 deg, intensity 3.3; hkl 2 -4 4, d 1.301, 72.66 deg, intensity 5.6; hkl -2 6 2, d 1.300, 72.76 deg, intensity 5.6